This entry pairs a crystal structure of Li3Al2Au4 with its calculated PXRD pattern. Radiation: Cu Kα (weighted mean of Kα1 and Kα2). Structure: a crystal structure in Alexandria, relaxed with GGA-PBE.
Intensities are scaled so that the largest is 100.

Atomic structure:
```
data_Li3Al2Au4
_symmetry_space_group_name_H-M 'P 1'
_symmetry_Int_Tables_number 1
_cell_length_a 5.5071
_cell_length_b 5.5071
_cell_length_c 8.1845
_cell_angle_alpha 123.52
_cell_angle_beta 123.52
_cell_angle_gamma 46.90
loop_
_symmetry_equiv_pos_as_xyz
'x,y,z'
loop_
_atom_site_label
_atom_site_fract_x
_atom_site_fract_y
_atom_site_fract_z
_atom_site_occupancy
Li1 0.0000 0.0000 0.0000 1
Li2 0.0256 0.0256 0.6851 1
Li3 0.9744 0.9744 0.3149 1
Al1 0.3286 0.3286 0.6738 1
Al2 0.6714 0.6714 0.3262 1
Au1 0.3207 0.3207 0.3542 1
Au2 0.3587 0.3587 0.0288 1
Au3 0.6413 0.6413 0.9712 1
Au4 0.6793 0.6793 0.6458 1
```

Principal peaks in the range 2θ = 15–90°, most intense first:
| Position (°2θ) | d [Å] | I (rel.) |
| --- | --- | --- |
| 23.1 | 3.851 | 100 |
| 39.3 | 2.292 | 90 |
| 39.9 | 2.261 | 82 |
| 30.1 | 2.966 | 51 |
| 32.9 | 2.720 | 46 |
| 41.2 | 2.191 | 46 |
| 30.4 | 2.944 | 38 |
| 41.4 | 2.179 | 36 |
| 22.0 | 4.034 | 36 |
| 35.5 | 2.526 | 31 |



This entry pairs a crystal structure of LiNd2AlAu6 with its calculated PXRD pattern. Radiation: Cu Kα (weighted mean of Kα1 and Kα2). Structure: a crystal structure in Alexandria, relaxed with GGA-PBE.
Intensities are scaled so that the largest is 100.

Atomic structure:
```
data_LiNd2AlAu6
_symmetry_space_group_name_H-M 'P 1'
_symmetry_Int_Tables_number 1
_cell_length_a 6.7964
_cell_length_b 6.7964
_cell_length_c 8.6688
_cell_angle_alpha 128.25
_cell_angle_beta 128.25
_cell_angle_gamma 48.49
loop_
_symmetry_equiv_pos_as_xyz
'x,y,z'
loop_
_atom_site_label
_atom_site_fract_x
_atom_site_fract_y
_atom_site_fract_z
_atom_site_occupancy
Li1 0.0000 0.0000 0.0000 1
Nd1 0.2513 0.2513 0.7815 1
Nd2 0.7487 0.7487 0.2185 1
Al1 0.5000 0.5000 0.5000 1
Au1 0.2301 0.7310 0.2306 1
Au2 0.2461 0.2461 0.3904 1
Au3 0.2690 0.7699 0.7694 1
Au4 0.7310 0.2301 0.2306 1
Au5 0.7539 0.7539 0.6096 1
Au6 0.7699 0.2690 0.7694 1
```

Principal peaks in the range 2θ = 15–90°, most intense first:
| Position (°2θ) | d [Å] | I (rel.) |
| --- | --- | --- |
| 37.8 | 2.379 | 100 |
| 28.0 | 3.181 | 69 |
| 38.4 | 2.346 | 47 |
| 39.6 | 2.275 | 44 |
| 28.8 | 3.095 | 40 |
| 20.5 | 4.333 | 38 |
| 27.6 | 3.227 | 30 |
| 35.0 | 2.565 | 20 |
| 53.6 | 1.711 | 20 |
| 40.8 | 2.211 | 17 |



This entry pairs a crystal structure of LiNdAl2Au4 with its calculated PXRD pattern. Radiation: Cu Kα (weighted mean of Kα1 and Kα2). Structure: a crystal structure in Alexandria, relaxed with GGA-PBE.
Intensities are scaled so that the largest is 100.

Atomic structure:
```
data_LiNdAl2Au4
_symmetry_space_group_name_H-M 'P 1'
_symmetry_Int_Tables_number 1
_cell_length_a 9.0285
_cell_length_b 9.0285
_cell_length_c 9.0285
_cell_angle_alpha 28.70
_cell_angle_beta 28.70
_cell_angle_gamma 28.70
loop_
_symmetry_equiv_pos_as_xyz
'x,y,z'
loop_
_atom_site_label
_atom_site_fract_x
_atom_site_fract_y
_atom_site_fract_z
_atom_site_occupancy
Li1 0.0000 0.0000 0.0000 1
Nd1 0.5000 0.5000 0.5000 1
Al1 0.2612 0.2612 0.2612 1
Al2 0.7388 0.7388 0.7388 1
Au1 0.1001 0.1001 0.1001 1
Au2 0.3668 0.3668 0.3668 1
Au3 0.6332 0.6332 0.6332 1
Au4 0.8999 0.8999 0.8999 1
```

Principal peaks in the range 2θ = 15–90°, most intense first:
| Position (°2θ) | d [Å] | I (rel.) |
| --- | --- | --- |
| 40.3 | 2.238 | 100 |
| 26.8 | 3.328 | 74 |
| 36.1 | 2.488 | 63 |
| 33.4 | 2.679 | 59 |
| 68.6 | 1.369 | 34 |
| 28.7 | 3.106 | 31 |
| 45.0 | 2.015 | 27 |
| 55.2 | 1.664 | 19 |
| 70.5 | 1.335 | 18 |
| 73.3 | 1.292 | 18 |



This entry pairs a crystal structure of LiPmAlAu with its calculated PXRD pattern. Radiation: Cu Kα (weighted mean of Kα1 and Kα2). Structure: a crystal structure in Alexandria, relaxed with GGA-PBE.
Intensities are scaled so that the largest is 100.

Atomic structure:
```
data_LiPmAlAu
_symmetry_space_group_name_H-M 'P 1'
_symmetry_Int_Tables_number 1
_cell_length_a 4.8242
_cell_length_b 4.8242
_cell_length_c 4.8242
_cell_angle_alpha 60.00
_cell_angle_beta 60.00
_cell_angle_gamma 60.00
loop_
_symmetry_equiv_pos_as_xyz
'x,y,z'
loop_
_atom_site_label
_atom_site_fract_x
_atom_site_fract_y
_atom_site_fract_z
_atom_site_occupancy
Li1 0.0000 0.0000 0.0000 1
Pm1 0.7500 0.7500 0.7500 1
Al1 0.2500 0.2500 0.2500 1
Au1 0.5000 0.5000 0.5000 1
```

Principal peaks in the range 2θ = 15–90°, most intense first:
| Position (°2θ) | d [Å] | I (rel.) |
| --- | --- | --- |
| 37.3 | 2.412 | 100 |
| 22.6 | 3.939 | 85 |
| 44.0 | 2.057 | 46 |
| 67.2 | 1.393 | 36 |
| 59.0 | 1.565 | 19 |
| 53.7 | 1.706 | 18 |
| 83.9 | 1.153 | 15 |
| 71.9 | 1.313 | 15 |
| 79.5 | 1.206 | 11 |
| 26.1 | 3.411 | 1 |



This entry pairs a crystal structure of LiSmAlAu2 with its calculated PXRD pattern. Radiation: Cu Kα (weighted mean of Kα1 and Kα2). Structure: a crystal structure in Alexandria, relaxed with GGA-PBE.
Intensities are scaled so that the largest is 100.

Atomic structure:
```
data_LiSmAlAu2
_symmetry_space_group_name_H-M 'P 1'
_symmetry_Int_Tables_number 1
_cell_length_a 6.8652
_cell_length_b 6.8652
_cell_length_c 6.8652
_cell_angle_alpha 145.96
_cell_angle_beta 145.96
_cell_angle_gamma 48.90
loop_
_symmetry_equiv_pos_as_xyz
'x,y,z'
loop_
_atom_site_label
_atom_site_fract_x
_atom_site_fract_y
_atom_site_fract_z
_atom_site_occupancy
Li1 0.0000 0.0000 0.0000 1
Sm1 0.7500 0.2500 0.5000 1
Al1 0.5000 0.5000 0.0000 1
Au1 0.1355 0.6355 0.5000 1
Au2 0.3645 0.8645 0.5000 1
```

Principal peaks in the range 2θ = 15–90°, most intense first:
| Position (°2θ) | d [Å] | I (rel.) |
| --- | --- | --- |
| 30.9 | 2.892 | 100 |
| 31.5 | 2.842 | 92 |
| 42.6 | 2.123 | 79 |
| 63.8 | 1.459 | 48 |
| 45.1 | 2.009 | 44 |
| 55.7 | 1.650 | 39 |
| 23.3 | 3.826 | 32 |
| 34.7 | 2.587 | 30 |
| 43.0 | 2.102 | 21 |
| 68.5 | 1.369 | 16 |



This entry pairs a crystal structure of LiSm2AlAu6 with its calculated PXRD pattern. Radiation: Cu Kα (weighted mean of Kα1 and Kα2). Structure: a crystal structure in Alexandria, relaxed with GGA-PBE.
Intensities are scaled so that the largest is 100.

Atomic structure:
```
data_LiSm2AlAu6
_symmetry_space_group_name_H-M 'P 1'
_symmetry_Int_Tables_number 1
_cell_length_a 5.9878
_cell_length_b 6.6835
_cell_length_c 6.9284
_cell_angle_alpha 65.44
_cell_angle_beta 66.10
_cell_angle_gamma 65.11
loop_
_symmetry_equiv_pos_as_xyz
'x,y,z'
loop_
_atom_site_label
_atom_site_fract_x
_atom_site_fract_y
_atom_site_fract_z
_atom_site_occupancy
Li1 0.0000 0.0000 0.0000 1
Sm1 0.2908 0.1229 0.2779 1
Sm2 0.7092 0.8771 0.7221 1
Al1 0.5000 0.5000 0.5000 1
Au1 0.1343 0.3602 0.8183 1
Au2 0.2559 0.7803 0.7281 1
Au3 0.3392 0.6760 0.1594 1
Au4 0.6608 0.3240 0.8406 1
Au5 0.7441 0.2197 0.2719 1
Au6 0.8657 0.6398 0.1817 1
```

Principal peaks in the range 2θ = 15–90°, most intense first:
| Position (°2θ) | d [Å] | I (rel.) |
| --- | --- | --- |
| 38.8 | 2.321 | 100 |
| 30.0 | 2.977 | 86 |
| 29.5 | 3.026 | 65 |
| 42.9 | 2.110 | 46 |
| 35.6 | 2.525 | 43 |
| 34.4 | 2.608 | 28 |
| 29.0 | 3.082 | 28 |
| 46.6 | 1.950 | 27 |
| 38.2 | 2.355 | 26 |
| 33.4 | 2.682 | 23 |



Repeat the first record exactly.
This entry pairs a crystal structure of Li3Al2Au4 with its calculated PXRD pattern. Radiation: Cu Kα (weighted mean of Kα1 and Kα2). Structure: a crystal structure in Alexandria, relaxed with GGA-PBE.
Intensities are scaled so that the largest is 100.

Atomic structure:
```
data_Li3Al2Au4
_symmetry_space_group_name_H-M 'P 1'
_symmetry_Int_Tables_number 1
_cell_length_a 5.5071
_cell_length_b 5.5071
_cell_length_c 8.1845
_cell_angle_alpha 123.52
_cell_angle_beta 123.52
_cell_angle_gamma 46.90
loop_
_symmetry_equiv_pos_as_xyz
'x,y,z'
loop_
_atom_site_label
_atom_site_fract_x
_atom_site_fract_y
_atom_site_fract_z
_atom_site_occupancy
Li1 0.0000 0.0000 0.0000 1
Li2 0.0256 0.0256 0.6851 1
Li3 0.9744 0.9744 0.3149 1
Al1 0.3286 0.3286 0.6738 1
Al2 0.6714 0.6714 0.3262 1
Au1 0.3207 0.3207 0.3542 1
Au2 0.3587 0.3587 0.0288 1
Au3 0.6413 0.6413 0.9712 1
Au4 0.6793 0.6793 0.6458 1
```

Principal peaks in the range 2θ = 15–90°, most intense first:
| Position (°2θ) | d [Å] | I (rel.) |
| --- | --- | --- |
| 23.1 | 3.851 | 100 |
| 39.3 | 2.292 | 90 |
| 39.9 | 2.261 | 82 |
| 30.1 | 2.966 | 51 |
| 32.9 | 2.720 | 46 |
| 41.2 | 2.191 | 46 |
| 30.4 | 2.944 | 38 |
| 41.4 | 2.179 | 36 |
| 22.0 | 4.034 | 36 |
| 35.5 | 2.526 | 31 |